Record 1
Structure and computed powder X-ray diffraction pattern of MgP8W2O24 (a cell relaxed with PBE+U; Cu Kα).
Intensities are scaled so that the largest is 100.

Structural model:
```
data_MgP8W2O24
_chemical_formula_sum 'Mg2 P16 W4 O48'
_space_group_name_H-M_alt 'C 1 2 1'
_space_group_IT_number 5
_space_group_name_Hall 'C 2y'
_cell_length_a 12.301
_cell_length_b 8.464
_cell_length_c 10.364
_cell_angle_alpha 90.00
_cell_angle_beta 119.11
_cell_angle_gamma 90.00
loop_
_atom_site_label
_atom_site_type_symbol
_atom_site_fract_x
_atom_site_fract_y
_atom_site_fract_z
_atom_site_occupancy
Mg1 Mg 0.000 0.000 0.000 1
P1 P 0.004 0.693 0.221 1
P2 P 0.012 0.217 0.732 1
P3 P 0.181 0.468 0.435 1
P4 P 0.193 0.450 0.949 1
W1 W 0.246 0.710 0.744 1
O1 O 0.022 0.833 0.148 1
O2 O 0.032 0.080 0.661 1
O3 O 0.050 0.195 0.169 1
O4 O 0.053 0.703 0.680 1
O5 O 0.059 0.361 0.383 1
O6 O 0.077 0.564 0.909 1
O7 O 0.136 0.606 0.311 1
O8 O 0.144 0.307 0.835 1
O9 O 0.209 0.035 0.076 1
O10 O 0.216 0.531 0.584 1
O11 O 0.220 0.876 0.578 1
O12 O 0.237 0.391 0.102 1
```

Most intense lines, 10 to 80 degrees two-theta, most intense first:
| h k l | 2theta | I/Imax |
| --- | --- | --- |
| 1 1 -1 | 13.95 | 100 |
| 0 2 2 | 28.88 | 68 |
| 1 1 1 | 18.78 | 59 |
| 3 1 -1 | 24.22 | 47 |
| 3 1 -3 | 29.86 | 29 |
| 0 0 2 | 19.61 | 27 |
| 4 2 -2 | 36.26 | 25 |
| 2 2 -2 | 28.11 | 20 |
| 2 0 0 | 16.50 | 19 |
| 4 0 0 | 33.35 | 17 |

---

Record 2
Structure and computed powder X-ray diffraction pattern of Mg3Te2Pb6WO18 (a cell relaxed with PBE+U; Cu Kα).
Intensities are scaled so that the largest is 100.

Structural model:
```
data_Mg3Te2Pb6WO18
_chemical_formula_sum 'Mg3 Te2 Pb6 W1 O18'
_space_group_name_H-M_alt 'P -3 m 1'
_space_group_IT_number 164
_space_group_name_Hall '-P 3 2"'
_cell_length_a 5.7149
_cell_length_b 5.7149
_cell_length_c 13.9894
_cell_angle_alpha 90.00
_cell_angle_beta 90.00
_cell_angle_gamma 120.00
loop_
_atom_site_label
_atom_site_type_symbol
_atom_site_fract_x
_atom_site_fract_y
_atom_site_fract_z
_atom_site_occupancy
Mg1 Mg 0.0000 0.0000 0.0000 1
Mg2 Mg 0.3333 0.6667 0.6661 1
Te1 Te 0.3333 0.6667 0.1665 1
Pb1 Pb 0.0000 0.0000 0.2496 1
Pb2 Pb 0.3333 0.6667 0.4163 1
Pb3 Pb 0.3333 0.6667 0.9166 1
W1 W 0.0000 0.0000 0.5000 1
O1 O 0.0125 0.5062 0.2470 1
O2 O 0.1615 0.3229 0.5808 1
O3 O 0.1725 0.3451 0.0863 1
```

Most intense lines, 10 to 80 degrees two-theta, most intense first:
| h k l | 2theta | I/Imax |
| --- | --- | --- |
| 1 1 0 | 31.31 | 100 |
| 3 0 0 | 55.73 | 41 |
| 0 2 4 | 44.87 | 28 |
| 1 3 4 | 74.23 | 18 |
| 2 2 0 | 65.33 | 18 |
| 0 1 2 | 22.00 | 16 |
| 2 0 2 | 38.60 | 15 |
| 0 0 3 | 19.02 | 12 |
| 1 2 2 | 50.51 | 9 |
| 1 1 3 | 36.89 | 6 |

---

Record 3
Structure and computed powder X-ray diffraction pattern of Mg2TePb4WO12 (a cell relaxed with PBE+U; Cu Kα).
Intensities are scaled so that the largest is 100.

Structural model:
```
data_Mg2TePb4WO12
_chemical_formula_sum 'Mg4 Te2 Pb8 W2 O24'
_space_group_name_H-M_alt 'P m c 21'
_space_group_IT_number 26
_space_group_name_Hall 'P 2c -2'
_cell_length_a 8.081
_cell_length_b 5.732
_cell_length_c 11.480
_cell_angle_alpha 90.00
_cell_angle_beta 90.00
_cell_angle_gamma 90.00
loop_
_atom_site_label
_atom_site_type_symbol
_atom_site_fract_x
_atom_site_fract_y
_atom_site_fract_z
_atom_site_occupancy
Mg1 Mg 0.000 0.005 0.000 1
Mg2 Mg 0.500 0.492 0.753 1
Te1 Te 0.500 0.003 0.999 1
Pb1 Pb 0.248 0.026 0.244 1
Pb2 Pb 0.253 0.478 0.508 1
W1 W 0.000 0.494 0.754 1
O1 O 0.000 0.243 0.138 1
O2 O 0.000 0.252 0.868 1
O3 O 0.000 0.266 0.375 1
O4 O 0.000 0.271 0.626 1
O5 O 0.242 0.492 0.247 1
O6 O 0.260 0.008 0.505 1
O7 O 0.500 0.228 0.127 1
O8 O 0.500 0.232 0.377 1
O9 O 0.500 0.250 0.885 1
O10 O 0.500 0.255 0.613 1
```

Most intense lines, 10 to 80 degrees two-theta, most intense first:
| h k l | 2theta | I/Imax |
| --- | --- | --- |
| 2 1 2 | 31.23 | 100 |
| 2 1 6 | 55.53 | 25 |
| 0 2 4 | 44.69 | 18 |
| 2 0 0 | 21.94 | 14 |
| 4 0 4 | 55.65 | 13 |
| 1 0 2 | 18.97 | 13 |
| 2 0 4 | 38.49 | 13 |
| 4 2 4 | 65.18 | 11 |
| 0 2 8 | 73.91 | 10 |
| 4 0 0 | 44.87 | 10 |

---

Record 4
Structure and computed powder X-ray diffraction pattern of PrMgV2O6 (a cell relaxed with PBE+U; Cu Kα).
Intensities are scaled so that the largest is 100.

Structural model:
```
data_PrMgV2O6
_chemical_formula_sum 'Pr2 Mg2 V4 O12'
_space_group_name_H-M_alt 'P 1 c 1'
_space_group_IT_number 7
_space_group_name_Hall 'P -2yc'
_cell_length_a 5.345
_cell_length_b 5.493
_cell_length_c 9.363
_cell_angle_alpha 90.00
_cell_angle_beta 124.57
_cell_angle_gamma 90.00
loop_
_atom_site_label
_atom_site_type_symbol
_atom_site_fract_x
_atom_site_fract_y
_atom_site_fract_z
_atom_site_occupancy
Pr1 Pr 0.000 0.202 0.000 1
Mg1 Mg 0.472 0.301 0.502 1
V1 V 0.236 0.258 0.749 1
V2 V 0.739 0.253 0.250 1
O1 O 0.016 0.471 0.807 1
O2 O 0.125 0.042 0.307 1
O3 O 0.391 0.481 0.195 1
O4 O 0.492 0.055 0.689 1
O5 O 0.575 0.304 0.999 1
O6 O 0.861 0.225 0.501 1
```

Most intense lines, 10 to 80 degrees two-theta, most intense first:
| h k l | 2theta | I/Imax |
| --- | --- | --- |
| 1 1 1 | 32.91 | 100 |
| 1 1 -3 | 33.01 | 96 |
| 1 0 0 | 20.21 | 76 |
| 0 1 1 | 19.85 | 74 |
| 2 2 -2 | 47.47 | 51 |
| 2 0 -2 | 33.53 | 43 |
| 0 2 0 | 32.60 | 41 |
| 0 1 3 | 38.67 | 40 |
| 2 1 -3 | 39.27 | 39 |
| 0 0 4 | 47.15 | 31 |

---

Record 5
Structure and computed powder X-ray diffraction pattern of Pr2MgV4O12 (a cell relaxed with PBE+U; Cu Kα).
Intensities are scaled so that the largest is 100.

Structural model:
```
data_Pr2MgV4O12
_chemical_formula_sum 'Pr2 Mg1 V4 O12'
_space_group_name_H-M_alt 'P 1'
_space_group_IT_number 1
_space_group_name_Hall 'P 1'
_cell_length_a 5.364
_cell_length_b 5.500
_cell_length_c 7.588
_cell_angle_alpha 90.05
_cell_angle_beta 90.72
_cell_angle_gamma 90.63
loop_
_atom_site_label
_atom_site_type_symbol
_atom_site_fract_x
_atom_site_fract_y
_atom_site_fract_z
_atom_site_occupancy
Pr1 Pr 0.000 0.000 0.000 1
Pr2 Pr 0.496 0.417 0.506 1
Mg1 Mg 0.468 0.513 0.012 1
V1 V 0.488 0.956 0.747 1
V2 V 0.500 0.953 0.256 1
V3 V 0.978 0.466 0.755 1
V4 V 0.989 0.469 0.258 1
O1 O 0.055 0.461 0.497 1
O2 O 0.210 0.745 0.207 1
O3 O 0.223 0.720 0.814 1
O4 O 0.278 0.252 0.807 1
O5 O 0.284 0.264 0.197 1
O6 O 0.415 0.962 0.512 1
O7 O 0.566 0.916 0.000 1
O8 O 0.686 0.656 0.287 1
O9 O 0.718 0.672 0.718 1
O10 O 0.760 0.163 0.288 1
O11 O 0.769 0.180 0.721 1
O12 O 0.877 0.444 0.010 1
```

Most intense lines, 10 to 80 degrees two-theta, most intense first:
| h k l | 2theta | I/Imax |
| --- | --- | --- |
| 0 1 1 | 19.94 | 100 |
| 1 1 2 | 33.44 | 83 |
| 1 0 -1 | 20.15 | 53 |
| 1 0 1 | 20.40 | 52 |
| 1 0 -3 | 39.20 | 51 |
| -1 1 2 | 32.96 | 47 |
| 1 1 -2 | 33.12 | 44 |
| 1 -1 2 | 33.25 | 43 |
| 0 2 0 | 32.56 | 42 |
| 0 0 4 | 47.96 | 31 |

---

Record 6
Structure and computed powder X-ray diffraction pattern of Pr2MgV2O8 (a cell relaxed with PBE+U; Cu Kα).
Intensities are scaled so that the largest is 100.

Structural model:
```
data_Pr2MgV2O8
_chemical_formula_sum 'Pr4 Mg2 V4 O16'
_space_group_name_H-M_alt 'C 1 2 1'
_space_group_IT_number 5
_space_group_name_Hall 'C 2y'
_cell_length_a 6.641
_cell_length_b 10.720
_cell_length_c 6.377
_cell_angle_alpha 90.00
_cell_angle_beta 120.86
_cell_angle_gamma 90.00
loop_
_atom_site_label
_atom_site_type_symbol
_atom_site_fract_x
_atom_site_fract_y
_atom_site_fract_z
_atom_site_occupancy
Pr1 Pr 0.000 0.000 0.000 1
Pr2 Pr 0.000 0.225 0.500 1
Mg1 Mg 0.000 0.705 0.000 1
V1 V 0.000 0.450 0.000 1
V2 V 0.000 0.725 0.500 1
O1 O 0.067 0.806 0.287 1
O2 O 0.106 0.377 0.826 1
O3 O 0.225 0.144 0.322 1
O4 O 0.242 0.573 0.155 1
```

Most intense lines, 10 to 80 degrees two-theta, most intense first:
| h k l | 2theta | I/Imax |
| --- | --- | --- |
| 0 2 1 | 23.23 | 100 |
| 2 0 -2 | 31.68 | 54 |
| 2 0 0 | 31.38 | 23 |
| 1 1 -1 | 17.73 | 19 |
| 1 1 0 | 17.62 | 18 |
| 0 4 2 | 47.48 | 17 |
| 1 3 1 | 37.67 | 17 |
| 2 4 0 | 46.51 | 17 |
| 2 4 -2 | 46.70 | 16 |
| 2 2 -3 | 46.39 | 16 |

---

Question: Which formula does entry 6 have?
Answer: Pr2MgV2O8